Simulated PXRD pattern
Compound: Na7Mn10O24
Radiation: Cu Ka
Structure: a crystal structure in Alexandria, relaxed with GGA+U

Atomic structure:
```
data_Na7Mn10O24
_chemical_formula_sum 'Na14 Mn20 O48'
_cell_length_a 10.666
_cell_length_b 5.972
_cell_length_c 15.388
_cell_angle_alpha 90.00
_cell_angle_beta 92.41
_cell_angle_gamma 90.00
_space_group_name_H-M_alt 'C 1 m 1'
_space_group_IT_number 8
loop_
_space_group_symop_operation_xyz
'x,y,z'
'x,-y,z'
'x+1/2,y+1/2,z'
'x+1/2,-y+1/2,z'
loop_
_atom_site_label
_atom_site_fract_x
_atom_site_fract_y
_atom_site_fract_z
_atom_site_occupancy
Na1 0.000 0.000 0.000 1
Na2 0.002 0.000 0.624 1
Na3 0.011 0.500 0.510 1
Na4 0.014 0.000 0.383 1
Na5 0.164 0.500 0.955 1
Na6 0.336 0.000 0.041 1
Na7 0.357 0.000 0.301 1
Mn1 0.097 0.247 0.178 1
Mn2 0.152 0.000 0.823 1
Mn3 0.188 0.500 0.340 1
Mn4 0.259 0.247 0.501 1
Mn5 0.316 0.000 0.668 1
Mn6 0.349 0.500 0.178 1
Mn7 0.404 0.254 0.824 1
O1 0.017 0.000 0.241 1
O2 0.048 0.500 0.253 1
O3 0.064 0.227 0.886 1
O4 0.127 0.283 0.413 1
O5 0.159 0.000 0.115 1
O6 0.177 0.500 0.112 1
O7 0.184 0.000 0.566 1
O8 0.203 0.500 0.565 1
O9 0.245 0.212 0.750 1
O10 0.255 0.290 0.251 1
O11 0.323 0.000 0.889 1
O12 0.326 0.000 0.440 1
O13 0.327 0.500 0.430 1
O14 0.342 0.500 0.888 1
O15 0.383 0.218 0.591 1
O16 0.436 0.270 0.117 1
O17 0.455 0.000 0.750 1
O18 0.483 0.500 0.762 1
```

Principal peaks in the range 10 to 90 degrees two-theta, by angle:
h k l, 2theta, I/Imax
0 0 3, 17.34, 100
1 1 1, 18.09, 43
1 1 -5, 33.58, 34
2 2 -1, 34.78, 58
2 2 -4, 41.48, 52
4 0 4, 42.07, 19
4 2 -5, 54.10, 22
6 0 3, 55.49, 17
2 2 8, 60.45, 16
6 2 0, 60.67, 18